# 1
Theoretical powder diffractogram
Compound: Rb3LaBr8
Radiation: copper Kα
Structure: a DFT-relaxed cell (GGA-PBE, Alexandria)
No peak broadening, texture or thermal motion is included.

Top 10 peaks for 2θ = 5–70°, by angle:
index	two_theta	intensity
1 0 1	12.62	15
1 1 2	19.45	55
2 0 4	31.73	100
2 2 0	32.64	48
1 1 6	36.69	10
3 1 2	38.28	18
4 0 0	46.82	15
2 2 8	55.94	16
4 2 4	57.67	28
4 0 8	66.30	11

Structure:
Cell lengths 7.7608, 7.7608, 16.4238 Å; angles 90.00, 90.00, 90.00 degrees
Space group I4/mmm (No. 139)
Unique sites:
Rb: 0.0000 0.0000 0.0000 x2
Rb: 0.0000 0.5000 0.2500 x4
La: 0.0000 0.0000 0.5000 x2
Br: 0.2257 0.2257 0.3880 x16


# 2
Theoretical powder diffractogram
Compound: Pa4Au
Radiation: copper Kα
Structure: a DFT-relaxed cell (GGA-PBE, Alexandria)
No peak broadening, texture or thermal motion is included.

Top 10 peaks for 2θ = 5–70°, by angle:
index	two_theta	intensity
1 0 0	16.30	17
1 1 0	23.13	16
1 1 1	28.43	79
2 0 0	32.94	100
2 1 0	36.96	10
2 1 1	40.64	7
2 2 0	47.27	75
3 1 1	56.09	37
2 2 2	58.82	26
4 0 0	69.09	12

Structure:
Cell lengths 5.4384, 5.4384, 5.4384 Å; angles 90.00, 90.00, 90.00 degrees
Space group Pm-3m (No. 221)
Unique sites:
Pa: 0.0000 0.0000 0.0000 x1
Pa: 0.0000 0.5000 0.5000 x3
Au: 0.5000 0.5000 0.5000 x1


# 3
Theoretical powder diffractogram
Compound: Hf4ZrIn2
Radiation: copper Kα
Structure: a DFT-relaxed cell (GGA-PBE, Alexandria)
No peak broadening, texture or thermal motion is included.

Top 10 peaks for 2θ = 5–70°, by angle:
index	two_theta	intensity
2 1 1	25.08	12
1 1 2	25.25	10
3 1 0	32.51	100
1 0 3	32.88	44
3 2 1	38.69	37
3 1 2	38.80	35
2 1 3	38.99	44
4 2 2	51.48	26
4 3 1	53.64	13
6 1 1	66.14	19

Structure:
Cell lengths 8.7158, 8.7158, 8.6030 Å; angles 90.00, 90.00, 90.00 degrees
Space group I-42d (No. 122)
Unique sites:
Hf: 0.0746 0.6736 0.4575 x16
Zr: 0.0000 0.0000 0.5000 x4
In: 0.1247 0.7500 0.1250 x8


# 4
Theoretical powder diffractogram
Compound: SiO2
Radiation: copper Kα
Structure: a DFT-relaxed cell (GGA-PBE, Alexandria)
No peak broadening, texture or thermal motion is included.

Top 10 peaks for 2θ = 5–70°, by angle:
index	two_theta	intensity
1 0 0	13.90	40
1 0 1	18.75	100
1 1 1	27.33	39
2 0 0	28.01	8
1 0 2	28.89	11
1 1 2	35.21	10
3 0 1	44.55	4
2 1 2	45.58	10
3 0 3	58.51	6
3 2 2	69.61	4

Structure:
Cell lengths 7.3564, 7.3564, 7.0694 Å; angles 90.00, 90.00, 120.00 degrees
Space group P6_522 (No. 179)
Unique sites:
Si: 0.2331 0.4663 0.2500 x6
O: 0.0000 0.3165 0.1667 x6
O: 0.2246 0.6123 0.4167 x6